Calculated X-ray powder pattern of VRhO4 for λ = 1.5418 Å (Cu Kα), from a DFT-relaxed cell (GGA+U, Alexandria).
Kinematic intensities with the Lorentz-polarization factor, no thermal factor.

Cell and atoms:
Cell: 4.9943 4.4530 5.6366 Å, 90.00 90.00 90.00°
Element x y z (fractional)
V1 0.0000 0.0000 0.0000
V2 0.0000 0.5000 0.5000
Rh1 0.5000 0.0000 0.6779
Rh2 0.5000 0.5000 0.1779
O1 0.1557 0.2391 0.7005
O2 0.1557 0.2609 0.2005
O3 0.3117 0.7247 0.4391
O4 0.3117 0.7753 0.9391
O5 0.6883 0.2247 0.9391
O6 0.6883 0.2753 0.4391
O7 0.8443 0.7391 0.2005
O8 0.8443 0.7609 0.7005

Main lines, by angle (10° ≤ 2θ ≤ 90°):
2θ/deg	I/Imax
25.49	47
31.24	100
36.61	22
44.59	22
52.89	15
55.28	18
55.74	29
61.72	14
65.10	15
65.62	14